(1)
Starting from a DFT-relaxed cell (PBE, Alexandria), the powder X-ray diffraction pattern of Pa3Cr was computed for a wavelength of 1.5418 Å.
Intensities are scaled so that the largest is 100.

Atomic structure:
```
data_Pa3Cr
_chemical_formula_sum 'Pa3 Cr1'
_cell_length_a 5.815
_cell_length_b 5.815
_cell_length_c 5.815
_cell_angle_alpha 147.34
_cell_angle_beta 65.99
_cell_angle_gamma 124.40
_space_group_name_H-M_alt 'P 1'
_space_group_IT_number 1
_space_group_name_Hall 'P 1'
loop_
_atom_site_label
_atom_site_type_symbol
_atom_site_fract_x
_atom_site_fract_y
_atom_site_fract_z
_atom_site_occupancy
Pa1 Pa 0.000 0.000 0.000 1
Pa2 Pa 0.208 0.407 0.801 1
Pa3 Pa 0.606 0.407 0.199 1
Cr1 Cr 0.599 0.099 0.500 1
```

Most intense lines, 2θ from 10° to 90°, in order of rising 2θ:
d (Å)  2θ/deg  Rel. int.
3.100  28.8  26
2.800  32.0  19
2.789  32.1  61
2.712  33.0  29
2.428  37.0  100
2.370  38.0  21
1.582  58.3  20
1.425  65.5  20

(2)
Starting from a DFT-relaxed cell (PBE, Alexandria), the powder X-ray diffraction pattern of PaCr6 was computed for a wavelength of 1.5418 Å.
Intensities are scaled so that the largest is 100.

Atomic structure:
```
data_PaCr6
_chemical_formula_sum 'Pa1 Cr6'
_cell_length_a 5.340
_cell_length_b 5.340
_cell_length_c 5.340
_cell_angle_alpha 109.47
_cell_angle_beta 109.47
_cell_angle_gamma 109.47
_space_group_name_H-M_alt 'P 1'
_space_group_IT_number 1
_space_group_name_Hall 'P 1'
loop_
_atom_site_label
_atom_site_type_symbol
_atom_site_fract_x
_atom_site_fract_y
_atom_site_fract_z
_atom_site_occupancy
Pa1 Pa 0.000 0.000 0.000 1
Cr1 Cr 0.250 0.500 0.750 1
Cr2 Cr 0.250 0.750 0.500 1
Cr3 Cr 0.500 0.250 0.750 1
Cr4 Cr 0.500 0.750 0.250 1
Cr5 Cr 0.750 0.250 0.500 1
Cr6 Cr 0.750 0.500 0.250 1
```

Most intense lines, 2θ from 10° to 90°, in order of rising 2θ:
d (Å)  2θ/deg  Rel. int.
4.360  20.4  23
3.083  29.0  43
2.517  35.7  100
1.648  55.8  54
1.541  60.0  14
1.379  68.0  15
1.315  71.8  13
1.126  86.4  16

(3)
Starting from a DFT-relaxed cell (PBE, Alexandria), the powder X-ray diffraction pattern of PuPaCrPt was computed for a wavelength of 1.5418 Å.
Intensities are scaled so that the largest is 100.

Atomic structure:
```
data_PuPaCrPt
_chemical_formula_sum 'Pu1 Pa1 Cr1 Pt1'
_cell_length_a 4.703
_cell_length_b 4.703
_cell_length_c 4.703
_cell_angle_alpha 60.00
_cell_angle_beta 60.00
_cell_angle_gamma 60.00
_space_group_name_H-M_alt 'P 1'
_space_group_IT_number 1
_space_group_name_Hall 'P 1'
loop_
_atom_site_label
_atom_site_type_symbol
_atom_site_fract_x
_atom_site_fract_y
_atom_site_fract_z
_atom_site_occupancy
Pu1 Pu 0.000 0.000 0.000 1
Pa1 Pa 0.250 0.250 0.250 1
Cr1 Cr 0.500 0.500 0.500 1
Pt1 Pt 0.750 0.750 0.750 1
```

Most intense lines, 2θ from 10° to 90°, in order of rising 2θ:
d (Å)  2θ/deg  Rel. int.
3.840  23.2  16
3.326  26.8  4
2.352  38.3  100
2.005  45.2  9
1.663  55.2  18
1.526  60.7  4
1.358  69.2  36
1.176  81.9  11

(4)
Starting from a DFT-relaxed cell (PBE, Alexandria), the powder X-ray diffraction pattern of RbPa2CrS8 was computed for a wavelength of 1.5418 Å.
Intensities are scaled so that the largest is 100.

Atomic structure:
```
data_RbPa2CrS8
_chemical_formula_sum 'Rb1 Pa2 Cr1 S8'
_cell_length_a 5.891
_cell_length_b 6.256
_cell_length_c 8.477
_cell_angle_alpha 89.97
_cell_angle_beta 89.95
_cell_angle_gamma 87.09
_space_group_name_H-M_alt 'P 1'
_space_group_IT_number 1
_space_group_name_Hall 'P 1'
loop_
_atom_site_label
_atom_site_type_symbol
_atom_site_fract_x
_atom_site_fract_y
_atom_site_fract_z
_atom_site_occupancy
Rb1 Rb 0.000 0.000 0.000 1
Pa1 Pa 0.500 0.500 0.249 1
Pa2 Pa 0.500 0.500 0.751 1
Cr1 Cr 0.000 0.000 0.500 1
S1 S 0.228 0.821 0.686 1
S2 S 0.229 0.822 0.314 1
S3 S 0.267 0.395 0.000 1
S4 S 0.277 0.306 0.500 1
S5 S 0.723 0.694 0.500 1
S6 S 0.733 0.605 0.000 1
S7 S 0.771 0.178 0.686 1
S8 S 0.772 0.179 0.314 1
```

Most intense lines, 2θ from 10° to 90°, in order of rising 2θ:
d (Å)  2θ/deg  Rel. int.
6.248  14.2  58
5.883  15.1  45
4.396  20.2  100
4.179  21.3  79
3.508  25.4  64
3.439  25.9  87
3.051  29.3  50
2.286  39.4  46

(5)
Starting from a DFT-relaxed cell (PBE, Alexandria), the powder X-ray diffraction pattern of PaCrSi2Ru was computed for a wavelength of 1.5418 Å.
Intensities are scaled so that the largest is 100.

Atomic structure:
```
data_PaCrSi2Ru
_chemical_formula_sum 'Pa1 Cr1 Si2 Ru1'
_cell_length_a 5.755
_cell_length_b 5.755
_cell_length_c 5.755
_cell_angle_alpha 138.57
_cell_angle_beta 138.57
_cell_angle_gamma 60.04
_space_group_name_H-M_alt 'P 1'
_space_group_IT_number 1
_space_group_name_Hall 'P 1'
loop_
_atom_site_label
_atom_site_type_symbol
_atom_site_fract_x
_atom_site_fract_y
_atom_site_fract_z
_atom_site_occupancy
Pa1 Pa 0.000 0.000 0.000 1
Cr1 Cr 0.250 0.750 0.500 1
Si1 Si 0.380 0.380 0.000 1
Si2 Si 0.620 0.620 0.000 1
Ru1 Ru 0.750 0.250 0.500 1
```

Most intense lines, 2θ from 10° to 90°, in order of rising 2θ:
d (Å)  2θ/deg  Rel. int.
3.770  23.6  58
2.574  34.9  44
2.493  36.0  100
2.036  44.5  30
1.791  51.0  32
1.597  57.7  21
1.439  64.8  24
1.247  76.4  29

(6)
Starting from a DFT-relaxed cell (PBE, Alexandria), the powder X-ray diffraction pattern of PaCrSi2Ru5 was computed for a wavelength of 1.5418 Å.
Intensities are scaled so that the largest is 100.

Atomic structure:
```
data_PaCrSi2Ru5
_chemical_formula_sum 'Pa1 Cr1 Si2 Ru5'
_cell_length_a 4.150
_cell_length_b 4.150
_cell_length_c 10.982
_cell_angle_alpha 90.00
_cell_angle_beta 90.00
_cell_angle_gamma 90.00
_space_group_name_H-M_alt 'P 1'
_space_group_IT_number 1
_space_group_name_Hall 'P 1'
loop_
_atom_site_label
_atom_site_type_symbol
_atom_site_fract_x
_atom_site_fract_y
_atom_site_fract_z
_atom_site_occupancy
Pa1 Pa 0.000 0.000 0.000 1
Cr1 Cr 0.500 0.500 0.500 1
Si1 Si 0.500 0.500 0.275 1
Si2 Si 0.500 0.500 0.725 1
Ru1 Ru 0.000 0.500 0.178 1
Ru2 Ru 0.000 0.500 0.822 1
Ru3 Ru 0.500 0.000 0.178 1
Ru4 Ru 0.500 0.000 0.822 1
Ru5 Ru 0.500 0.500 0.000 1
```

Most intense lines, 2θ from 10° to 90°, in order of rising 2θ:
d (Å)  2θ/deg  Rel. int.
3.882  22.9  28
2.588  34.7  97
2.290  39.4  100
2.075  43.6  54
2.039  44.4  29
2.005  45.2  37
1.373  68.3  22
1.235  77.2  28

(7)
Starting from a DFT-relaxed cell (PBE, Alexandria), the powder X-ray diffraction pattern of PaCrS4 was computed for a wavelength of 1.5418 Å.
Intensities are scaled so that the largest is 100.

Atomic structure:
```
data_PaCrS4
_chemical_formula_sum 'Pa2 Cr2 S8'
_cell_length_a 7.270
_cell_length_b 7.270
_cell_length_c 6.348
_cell_angle_alpha 106.88
_cell_angle_beta 106.88
_cell_angle_gamma 49.81
_space_group_name_H-M_alt 'P 1'
_space_group_IT_number 1
_space_group_name_Hall 'P 1'
loop_
_atom_site_label
_atom_site_type_symbol
_atom_site_fract_x
_atom_site_fract_y
_atom_site_fract_z
_atom_site_occupancy
Pa1 Pa 0.231 0.769 0.750 1
Pa2 Pa 0.769 0.231 0.250 1
Cr1 Cr 0.000 0.500 0.000 1
Cr2 Cr 0.500 0.000 0.500 1
S1 S 0.105 0.199 0.648 1
S2 S 0.199 0.105 0.148 1
S3 S 0.334 0.462 0.002 1
S4 S 0.462 0.334 0.502 1
S5 S 0.538 0.666 0.498 1
S6 S 0.666 0.538 0.998 1
S7 S 0.801 0.895 0.852 1
S8 S 0.895 0.801 0.352 1
```

Most intense lines, 2θ from 10° to 90°, in order of rising 2θ:
d (Å)  2θ/deg  Rel. int.
6.247  14.2  55
4.377  20.3  41
3.800  23.4  100
3.402  26.2  74
3.127  28.5  27
2.187  41.3  72
1.974  46.0  48
1.801  50.7  29

(8)
Starting from a DFT-relaxed cell (PBE, Alexandria), the powder X-ray diffraction pattern of ScPaCr2S6 was computed for a wavelength of 1.5418 Å.
Intensities are scaled so that the largest is 100.

Atomic structure:
```
data_ScPaCr2S6
_chemical_formula_sum 'Sc1 Pa1 Cr2 S6'
_cell_length_a 6.953
_cell_length_b 6.953
_cell_length_c 6.953
_cell_angle_alpha 54.58
_cell_angle_beta 54.58
_cell_angle_gamma 54.58
_space_group_name_H-M_alt 'P 1'
_space_group_IT_number 1
_space_group_name_Hall 'P 1'
loop_
_atom_site_label
_atom_site_type_symbol
_atom_site_fract_x
_atom_site_fract_y
_atom_site_fract_z
_atom_site_occupancy
Sc1 Sc 0.000 0.000 0.000 1
Pa1 Pa 0.502 0.502 0.502 1
Cr1 Cr 0.315 0.315 0.315 1
Cr2 Cr 0.815 0.815 0.815 1
S1 S 0.078 0.423 0.709 1
S2 S 0.197 0.938 0.582 1
S3 S 0.423 0.709 0.078 1
S4 S 0.582 0.197 0.938 1
S5 S 0.709 0.078 0.423 1
S6 S 0.938 0.582 0.197 1
```

Most intense lines, 2θ from 10° to 90°, in order of rising 2θ:
d (Å)  2θ/deg  Rel. int.
5.899  15.0  31
5.271  16.8  73
4.684  18.9  83
3.453  25.8  71
3.188  28.0  58
2.805  31.9  65
2.165  41.7  100
1.841  49.5  45

> What is the formula in the fourth record?

RbPa2CrS8